1.
Simulated powder X-ray diffraction pattern
Compound: MgTa2O6
Radiation: Cu Kα (λ = 1.5418 Å)
Structure: a PBE-relaxed structure
No peak broadening, texture or thermal motion is included.

The 6 most intense peaks (5° ≤ 2θ ≤ 70°), in order of rising 2θ:
2θ 20.23, I 29; 2θ 28.14, I 100; 2θ 35.42, I 27; 2θ 45.84, I 21; 2θ 53.92, I 28; 2θ 59.23, I 16

Crystal structure
```
27
Lattice="8.7788 0.0000 0.0000 -4.3894 7.6027 0.0000 0.0000 0.0000 4.5863" Properties=species:S:1:pos:R:3 pbc="T T T"
Mg 0.0000 0.0000 0.0000
Mg 0.0000 5.0685 2.3219
Mg 4.3894 2.5342 2.2644
Ta -1.5930 2.7592 0.0000
Ta -3.0631 5.3054 2.2932
Ta 1.3263 2.2973 2.2932
Ta 3.1860 0.0000 0.0000
Ta 2.7964 4.8435 0.0000
Ta 6.1262 0.0000 2.2932
O -1.5683 4.2526 1.2002
O -0.0430 1.7562 1.0784
O -2.8470 6.7618 1.0784
O -0.0455 3.2778 3.3988
O -1.5280 6.0032 3.3988
O 1.5424 0.8409 3.5080
O 2.8614 1.5995 1.1875
O 1.4907 4.1182 1.2002
O 0.0776 6.8345 1.2002
O 2.8211 3.3501 3.3862
O 4.4670 0.7681 3.3862
O 1.5736 5.9244 3.3988
O 2.8900 6.6874 1.0784
O 4.3439 4.3249 1.1875
O 5.9630 1.6783 1.1875
O 4.3465 5.8465 3.5080
O 7.2794 0.9153 3.5080
O 5.8801 3.4845 3.3862
```


2.
Simulated powder X-ray diffraction pattern
Compound: TaV3Re
Radiation: Cu Kα (λ = 1.5418 Å)
Structure: a PBE-relaxed structure
No peak broadening, texture or thermal motion is included.

The 6 most intense peaks (5° ≤ 2θ ≤ 70°), in order of rising 2θ:
2θ 17.15, I 66; 2θ 36.03, I 79; 2θ 38.11, I 42; 2θ 39.22, I 53; 2θ 40.27, I 66; 2θ 42.35, I 100

Crystal structure
```
10
Lattice="5.1698 0.0000 0.0000 0.0000 5.1288 0.0000 -0.0452 0.0000 5.7064" Properties=species:S:1:pos:R:3 pbc="T T T"
Ta 0.6488 1.2822 2.0805
Ta 4.4758 3.8466 3.6259
V 1.8389 0.0156 4.6753
V 1.8389 2.5488 4.6753
V 1.8808 3.8466 2.5713
V 3.2438 1.2822 3.1351
V 3.2857 2.5801 1.0311
V 3.2857 5.1132 1.0311
Re 0.3977 3.8466 0.5917
Re 4.7269 1.2822 5.1148
```


3.
Simulated powder X-ray diffraction pattern
Compound: Ac2MgGaO6
Radiation: Cu Kα (λ = 1.5418 Å)
Structure: a PBE-relaxed structure
No peak broadening, texture or thermal motion is included.

The 6 most intense peaks (5° ≤ 2θ ≤ 70°), in order of rising 2θ:
2θ 22.14, I 100; 2θ 31.01, I 38; 2θ 31.44, I 77; 2θ 31.57, I 77; 2θ 32.01, I 37; 2θ 45.16, I 64

Crystal structure
```
10
Lattice="4.9321 -2.7958 0.0000 4.9321 2.7958 0.0000 -3.3459 0.0000 4.6978" Properties=species:S:1:pos:R:3 pbc="T T T"
Ac 1.6374 0.0000 1.1535
Ac 4.8809 0.0000 3.5443
Mg -1.6729 0.0000 2.3489
Ga 4.9321 0.0000 0.0000
O 3.8706 1.3808 0.9761
O 0.2122 0.0000 3.2269
O 2.6477 1.3808 3.7217
O 3.8706 -1.3808 0.9761
O 6.3061 0.0000 1.4709
O 2.6477 -1.3808 3.7217
```


4.
Simulated powder X-ray diffraction pattern
Compound: CaTbPmNd
Radiation: Cu Kα (λ = 1.5418 Å)
Structure: a PBE-relaxed structure
No peak broadening, texture or thermal motion is included.

The 6 most intense peaks (5° ≤ 2θ ≤ 70°), in order of rising 2θ:
2θ 8.39, I 37; 2θ 29.68, I 100; 2θ 34.03, I 16; 2θ 34.59, I 34; 2θ 49.31, I 22; 2θ 58.98, I 28

Crystal structure
```
4
Lattice="3.6676 0.0000 0.0000 0.0000 3.6676 0.0000 0.0000 0.0000 10.5368" Properties=species:S:1:pos:R:3 pbc="T T T"
Ca 0.0000 0.0000 0.0000
Tb 0.0000 0.0000 5.2438
Pm 1.8338 1.8338 2.7957
Nd 1.8338 1.8338 7.7202
```


5.
Simulated powder X-ray diffraction pattern
Compound: Sm4U2O11
Radiation: Cu Kα (λ = 1.5418 Å)
Structure: a PBE-relaxed structure
No peak broadening, texture or thermal motion is included.

The 6 most intense peaks (5° ≤ 2θ ≤ 70°), in order of rising 2θ:
2θ 27.68, I 100; 2θ 28.63, I 94; 2θ 32.59, I 45; 2θ 32.70, I 22; 2θ 45.62, I 16; 2θ 46.79, I 59

Crystal structure
```
17
Lattice="6.2641 -2.7485 0.0000 6.2641 2.7485 0.0000 -2.3092 0.0000 7.2126" Properties=species:S:1:pos:R:3 pbc="T T T"
Sm -0.5231 0.0000 1.7338
Sm 3.0613 0.2830 2.9906
Sm 7.1577 0.2830 4.2220
Sm 10.7421 0.0000 5.4788
U 2.1498 0.0302 6.7126
U 8.0692 0.0302 0.4999
O 3.6354 1.6295 0.9755
O 2.4722 1.3824 5.0611
O 5.1095 1.4996 3.6063
O 6.2641 1.3052 0.0000
O 6.5837 1.6295 6.2371
O 7.7468 1.3824 2.1515
O 4.1238 -1.0186 1.3431
O 2.7938 -1.2751 4.7510
O 6.2641 -1.2713 0.0000
O 6.0952 -1.0186 5.8695
O 7.4252 -1.2751 2.4616
```


6.
Simulated powder X-ray diffraction pattern
Compound: NbHgPd14
Radiation: Cu Kα (λ = 1.5418 Å)
Structure: a PBE-relaxed structure
No peak broadening, texture or thermal motion is included.

The 6 most intense peaks (5° ≤ 2θ ≤ 70°), in order of rising 2θ:
2θ 19.30, I 2; 2θ 39.17, I 100; 2θ 44.83, I 34; 2θ 46.96, I 15; 2θ 65.26, I 11; 2θ 66.94, I 20

Crystal structure
```
16
Lattice="5.7185 0.0000 0.0000 0.0000 5.7185 0.0000 0.0000 0.0000 7.7393" Properties=species:S:1:pos:R:3 pbc="T T T"
Nb 0.0000 0.0000 0.0000
Hg 2.8592 2.8592 0.0000
Pd 0.0000 0.0000 3.8696
Pd 0.0000 2.8592 0.0000
Pd 0.0000 2.8592 3.8696
Pd 1.3958 1.3958 1.9226
Pd 1.3958 1.3958 5.8167
Pd 1.3958 4.3226 1.9226
Pd 1.3958 4.3226 5.8167
Pd 2.8592 0.0000 0.0000
Pd 2.8592 0.0000 3.8696
Pd 2.8592 2.8592 3.8696
Pd 4.3226 1.3958 1.9226
Pd 4.3226 1.3958 5.8167
Pd 4.3226 4.3226 1.9226
Pd 4.3226 4.3226 5.8167
```


7.
Simulated powder X-ray diffraction pattern
Compound: LaPm7Nd3
Radiation: Cu Kα (λ = 1.5418 Å)
Structure: a PBE-relaxed structure
No peak broadening, texture or thermal motion is included.

The 6 most intense peaks (5° ≤ 2θ ≤ 70°), in order of rising 2θ:
2θ 24.59, I 31; 2θ 29.73, I 73; 2θ 31.33, I 30; 2θ 31.85, I 100; 2θ 31.90, I 85; 2θ 54.12, I 41

Crystal structure
```
11
Lattice="-3.0055 5.7106 5.7384 3.0055 -5.7106 5.7384 3.0055 5.7106 -5.7384" Properties=species:S:1:pos:R:3 pbc="T T T"
La 0.0000 0.0000 0.0000
Pm 3.0055 0.0000 0.0000
Pm 3.0055 3.3672 -2.2729
Pm 0.0000 3.3492 0.0000
Pm 3.0055 3.3672 2.2729
Pm 0.0000 2.3434 3.4655
Pm 0.0000 8.0719 0.0000
Pm 0.0000 2.3434 8.0112
Nd 3.0055 0.0000 3.3481
Nd 0.0000 0.0000 5.7384
Nd 0.0000 5.7106 2.3903
```


8.
Simulated powder X-ray diffraction pattern
Compound: Mg8Cd3
Radiation: Cu Kα (λ = 1.5418 Å)
Structure: a PBE-relaxed structure
No peak broadening, texture or thermal motion is included.

The 6 most intense peaks (5° ≤ 2θ ≤ 70°), in order of rising 2θ:
2θ 21.56, I 100; 2θ 34.72, I 91; 2θ 35.02, I 89; 2θ 39.25, I 33; 2θ 39.79, I 31; 2θ 59.50, I 27

Crystal structure
```
11
Lattice="5.0873 -2.2652 0.0000 5.0873 2.2652 0.0000 -2.5153 0.0000 10.5972" Properties=species:S:1:pos:R:3 pbc="T T T"
Mg -0.3161 0.0000 3.3523
Mg -1.0256 0.0000 10.1338
Mg 0.8355 0.0000 6.2623
Mg 2.7180 0.0000 2.4298
Mg 4.9412 0.0000 8.1674
Mg 6.8237 0.0000 4.3349
Mg 8.6849 0.0000 0.4634
Mg 7.9753 0.0000 7.2449
Cd 1.9594 0.0000 9.1404
Cd 3.8296 0.0000 5.2986
Cd 5.6998 0.0000 1.4568
```


9.
Simulated powder X-ray diffraction pattern
Compound: Th3ScNi8
Radiation: Cu Kα (λ = 1.5418 Å)
Structure: a PBE-relaxed structure
No peak broadening, texture or thermal motion is included.

The 6 most intense peaks (5° ≤ 2θ ≤ 70°), in order of rising 2θ:
2θ 34.96, I 44; 2θ 35.11, I 46; 2θ 41.22, I 35; 2θ 41.37, I 100; 2θ 62.92, I 25; 2θ 67.20, I 32

Crystal structure
```
12
Lattice="2.5560 1.4757 8.4003 -2.5560 1.4757 8.4003 0.0000 -2.9514 8.4003" Properties=species:S:1:pos:R:3 pbc="T T T"
Th 0.0000 0.0000 0.0000
Th 0.0000 0.0000 3.2216
Th 0.0000 0.0000 15.5253
Sc 0.0000 0.0000 12.4345
Ni 0.0000 -1.4863 5.6757
Ni -1.2872 0.7432 5.6757
Ni -1.2725 -0.7347 9.9513
Ni 0.0000 0.0000 7.8286
Ni 1.2872 0.7432 5.6758
Ni 1.2725 -0.7347 9.9513
Ni 0.0000 1.4694 9.9513
Ni 0.0000 0.0000 20.4253
```


10.
Simulated powder X-ray diffraction pattern
Compound: Cd2TcRuO6
Radiation: Cu Kα (λ = 1.5418 Å)
Structure: a PBE-relaxed structure
No peak broadening, texture or thermal motion is included.

The 6 most intense peaks (5° ≤ 2θ ≤ 70°), in order of rising 2θ:
2θ 30.03, I 100; 2θ 33.63, I 36; 2θ 37.08, I 11; 2θ 48.30, I 22; 2θ 50.92, I 22; 2θ 57.93, I 30

Crystal structure
```
10
Lattice="5.3295 0.0000 0.0000 0.0000 5.3295 0.0000 0.0000 0.0000 4.8490" Properties=species:S:1:pos:R:3 pbc="T T T"
Cd 0.0000 2.6647 0.0000
Cd 2.6647 0.0000 0.0000
Tc 0.0000 0.0000 2.6365
Ru 2.6647 2.6647 2.8416
O 0.0000 0.0000 0.8520
O 1.2996 1.2996 3.3596
O 1.2996 4.0299 3.3596
O 2.6647 2.6647 0.9477
O 4.0299 1.2996 3.3596
O 4.0299 4.0299 3.3596
```


11.
Simulated powder X-ray diffraction pattern
Compound: Er6Al3Si
Radiation: Cu Kα (λ = 1.5418 Å)
Structure: a PBE-relaxed structure
No peak broadening, texture or thermal motion is included.

The 6 most intense peaks (5° ≤ 2θ ≤ 70°), in order of rising 2θ:
2θ 23.54, I 40; 2θ 24.78, I 36; 2θ 32.76, I 93; 2θ 33.16, I 38; 2θ 33.32, I 37; 2θ 34.28, I 100

Crystal structure
```
40
Lattice="-5.7309 5.7309 7.5589 5.7309 -5.7309 7.5589 5.7309 5.7309 -7.5589" Properties=species:S:1:pos:R:3 pbc="T T T"
Er 6.4584 -3.4748 5.5311
Er 2.2561 -0.7274 2.0278
Er 5.7309 0.0000 2.2306
Er 6.4584 3.4748 -2.0278
Er 3.7829 1.9481 0.0000
Er 9.2057 0.7274 2.0278
Er 3.4748 5.0035 -2.0278
Er 3.7829 -1.9481 7.5589
Er 0.7274 2.2561 2.0278
Er 5.7309 0.0000 5.3283
Er 2.2561 0.7274 5.5311
Er 6.4584 3.4748 2.0278
Er -0.7274 2.2561 5.5311
Er 3.4748 5.0035 2.0278
Er 0.0000 5.7309 2.2306
Er 5.0035 3.4748 5.5311
Er 1.9481 7.6790 0.0000
Er 2.2561 0.7274 9.5867
Er -3.4748 5.0035 5.5311
Er 1.9481 3.7829 7.5589
Er -0.7274 2.2561 9.5867
Er 0.0000 5.7309 5.3283
Er 3.4748 6.4584 5.5311
Er -0.7274 9.2057 2.0278
Al 7.7671 -2.0362 3.0875
Al 3.6947 -2.0362 4.4714
Al 7.1100 1.3790 0.0000
Al 1.3790 4.3519 0.0000
Al 3.6947 2.0362 3.0875
Al 7.7671 2.0362 4.4714
Al -2.0362 3.6947 3.0875
Al 2.0362 3.6947 4.4714
Al 4.3519 1.3790 7.5589
Al -1.3790 4.3519 7.5589
Al 2.0362 7.7671 3.0875
Al -2.0362 7.7671 4.4714
Si 0.0000 0.0000 0.0000
Si 0.0000 0.0000 3.7794
Si 0.0000 0.0000 7.5589
Si 0.0000 0.0000 11.3383
```